No. 1
Computed X-ray diffraction stick pattern
Compound: K2MgCr2CdH4O10
Radiation: copper Kα
Structure: the GGA+U geometry in the Materials Project
Intensities are scaled so that the largest is 100.

Crystal structure
Cell lengths 5.953, 6.611, 7.890 Å; angles 110.05, 96.42, 107.02 degrees
Atoms (fractional coordinates):
K  0.000  0.000  0.000
K  0.214  0.495  0.395
Mg  0.731  0.597  0.618
Cr  0.269  0.580  0.893
Cr  0.959  0.899  0.472
Cd  0.620  0.206  0.722
H  0.465  0.063  0.292
H  0.553  0.096  0.026
H  0.642  0.312  0.335
H  0.707  0.378  0.125
O  0.244  0.947  0.578
O  0.247  0.418  0.014
O  0.375  0.867  0.031
O  0.475  0.516  0.748
O  0.519  0.225  0.384
O  0.683  0.232  0.020
O  0.778  0.923  0.644
O  0.814  0.590  0.369
O  0.914  0.028  0.332
O  0.977  0.519  0.750

Largest 10 diffraction maxima, sorted by position, 5 to 70 degrees two-theta:
12.29°, d 7.202, rel. 100
22.46°, d 3.958, rel. 52
22.95°, d 3.875, rel. 50
23.36°, d 3.808, rel. 62
25.89°, d 3.441, rel. 65
28.26°, d 3.158, rel. 37
29.24°, d 3.055, rel. 43
30.48°, d 2.933, rel. 63
32.44°, d 2.760, rel. 34
32.72°, d 2.737, rel. 32

=====

No. 2
Computed X-ray diffraction stick pattern
Compound: Cr2CdH14N4O8
Radiation: copper Kα
Structure: the GGA+U geometry in the Materials Project
Intensities are scaled so that the largest is 100.

Crystal structure
Cell lengths 6.228, 7.036, 7.879 Å; angles 107.79, 93.28, 115.30 degrees
Atoms (fractional coordinates):
Cr  0.176  0.330  0.222
Cr  0.824  0.670  0.778
Cd  0.500  0.000  0.000
H  0.077  0.433  0.777
H  0.088  0.191  0.763
H  0.150  0.288  0.590
H  0.272  0.888  0.651
H  0.346  0.440  0.800
H  0.466  0.115  0.360
H  0.475  0.872  0.310
H  0.525  0.128  0.690
H  0.534  0.885  0.640
H  0.654  0.560  0.200
H  0.728  0.112  0.349
H  0.850  0.712  0.410
H  0.912  0.809  0.237
H  0.923  0.567  0.223
N  0.164  0.336  0.732
N  0.454  0.977  0.710
N  0.546  0.023  0.290
N  0.836  0.664  0.268
O  0.076  0.713  0.907
O  0.100  0.159  0.341
O  0.311  0.595  0.364
O  0.370  0.290  0.093
O  0.630  0.710  0.907
O  0.689  0.405  0.636
O  0.900  0.841  0.659
O  0.924  0.287  0.093

Largest 10 diffraction maxima, sorted by position, 5 to 70 degrees two-theta:
12.09°, d 7.322, rel. 71
15.43°, d 5.743, rel. 100
21.32°, d 4.168, rel. 48
22.24°, d 3.996, rel. 41
23.44°, d 3.796, rel. 50
26.10°, d 3.414, rel. 27
26.70°, d 3.339, rel. 48
26.81°, d 3.326, rel. 48
28.72°, d 3.109, rel. 45
45.97°, d 1.974, rel. 24

=====

No. 3
Computed X-ray diffraction stick pattern
Compound: Cr2CdH14N4O8
Radiation: copper Kα
Structure: the GGA+U geometry in the Materials Project
Intensities are scaled so that the largest is 100.

Crystal structure
Cell lengths 7.031, 7.031, 7.671 Å; angles 107.30, 107.30, 51.98 degrees
Atoms (fractional coordinates):
Cr  0.159  0.159  0.220
Cr  0.841  0.841  0.780
Cd  0.500  0.500  0.000
H  0.087  0.355  0.791
H  0.099  0.099  0.771
H  0.147  0.147  0.591
H  0.320  0.589  0.641
H  0.355  0.087  0.791
H  0.411  0.680  0.359
H  0.424  0.424  0.307
H  0.576  0.576  0.693
H  0.589  0.320  0.641
H  0.645  0.913  0.209
H  0.680  0.411  0.359
H  0.853  0.853  0.409
H  0.901  0.901  0.229
H  0.913  0.645  0.209
N  0.171  0.171  0.735
N  0.497  0.497  0.707
N  0.503  0.503  0.293
N  0.829  0.829  0.265
O  0.069  0.069  0.338
O  0.081  0.636  0.912
O  0.288  0.288  0.367
O  0.364  0.919  0.088
O  0.636  0.081  0.912
O  0.712  0.712  0.633
O  0.919  0.364  0.088
O  0.931  0.931  0.662

Largest 10 diffraction maxima, sorted by position, 5 to 70 degrees two-theta:
12.23°, d 7.238, rel. 76
15.82°, d 5.602, rel. 99
21.79°, d 4.079, rel. 89
24.18°, d 3.681, rel. 46
26.68°, d 3.341, rel. 100
27.40°, d 3.255, rel. 36
28.98°, d 3.081, rel. 48
31.64°, d 2.828, rel. 25
32.49°, d 2.756, rel. 26
40.53°, d 2.226, rel. 29

=====

No. 4
Computed X-ray diffraction stick pattern
Compound: Rb2Cr2CdH4O10
Radiation: copper Kα
Structure: the GGA+U geometry in the Materials Project
Intensities are scaled so that the largest is 100.

Crystal structure
Cell lengths 6.898, 7.921, 11.617 Å; angles 72.69, 75.43, 68.59 degrees
Atoms (fractional coordinates):
Rb  0.200  0.246  0.098
Rb  0.266  0.733  0.421
Rb  0.734  0.267  0.579
Rb  0.800  0.754  0.902
Cr  0.267  0.228  0.414
Cr  0.269  0.771  0.076
Cr  0.731  0.229  0.924
Cr  0.733  0.772  0.586
Cd  0.250  0.030  0.753
Cd  0.750  0.970  0.247
H  0.154  0.430  0.706
H  0.312  0.633  0.841
H  0.342  0.344  0.788
H  0.363  0.690  0.699
H  0.637  0.310  0.301
H  0.658  0.656  0.212
H  0.688  0.367  0.159
H  0.846  0.570  0.294
O  0.055  0.384  0.361
O  0.108  0.881  0.185
O  0.156  0.645  0.042
O  0.192  0.107  0.553
O  0.251  0.723  0.770
O  0.281  0.323  0.726
O  0.321  0.931  0.951
O  0.390  0.083  0.319
O  0.432  0.334  0.420
O  0.496  0.637  0.125
O  0.504  0.363  0.875
O  0.568  0.666  0.580
O  0.610  0.917  0.681
O  0.679  0.069  0.049
O  0.719  0.677  0.274
O  0.749  0.277  0.230
O  0.808  0.893  0.447
O  0.844  0.355  0.958
O  0.892  0.119  0.815
O  0.945  0.616  0.639

Largest 10 diffraction maxima, sorted by position, 5 to 70 degrees two-theta:
12.33°, d 7.180, rel. 43
23.02°, d 3.864, rel. 54
24.80°, d 3.590, rel. 23
26.15°, d 3.408, rel. 95
26.40°, d 3.376, rel. 26
28.15°, d 3.170, rel. 100
30.16°, d 2.964, rel. 67
38.93°, d 2.313, rel. 25
46.05°, d 1.971, rel. 31
49.95°, d 1.826, rel. 29